Record 1
For KIn2Sn2Cl7, a structure optimized by DFT (PBE) gives the calculated powder XRD pattern in this record (Cu Kα (weighted mean of Kα1 and Kα2)).
Lines closer than 0.1° are merged.

The 8 most intense peaks (2θ from 10° to 90°), low angle first:
hkl 1 1 0, 2θ = 16.46°, rel. 73; hkl 1 3 0, 2θ = 19.50°, rel. 60; hkl 1 2 1, 2θ = 22.62°, rel. 44; hkl 0 5 1, 2θ = 23.22°, rel. 100; hkl 2 0 0, 2θ = 32.41°, rel. 64; hkl 1 8 1, 2θ = 36.84°, rel. 39; hkl 0 10 0, 2θ = 37.31°, rel. 48; hkl 2 5 1, 2θ = 40.25°, rel. 48

Cell and atoms:
```
data_KIn2Sn2Cl7
_cell_length_a 5.526
_cell_length_b 24.101
_cell_length_c 6.312
_cell_angle_alpha 90.00
_cell_angle_beta 90.00
_cell_angle_gamma 90.00
_space_group_name_H-M_alt 'I m m 2'
_space_group_IT_number 44
_space_group_name_Hall 'I 2 -2'
loop_
_atom_site_label
_atom_site_type_symbol
_atom_site_fract_x
_atom_site_fract_y
_atom_site_fract_z
_atom_site_occupancy
K1 K 0.000 0.000 0.000 1
In1 In 0.000 0.291 0.501 1
Sn1 Sn 0.000 0.390 0.089 1
Cl1 Cl 0.000 0.104 0.640 1
Cl2 Cl 0.000 0.269 0.951 1
Cl3 Cl 0.000 0.415 0.695 1
Cl4 Cl 0.000 0.500 0.206 1
```

Record 2
For K6InTe4Cl, a structure optimized by DFT (PBE) gives the calculated powder XRD pattern in this record (Cu Kα (weighted mean of Kα1 and Kα2)).
Lines closer than 0.1° are merged.

The 8 most intense peaks (2θ from 10° to 90°), low angle first:
hkl 1 0 1, 2θ = 14.03°, rel. 71; hkl 2 0 1, 2θ = 20.92°, rel. 73; hkl 0 0 2, 2θ = 21.77°, rel. 37; hkl 2 1 1, 2θ = 26.10°, rel. 53; hkl 2 0 2, 2θ = 28.28°, rel. 97; hkl 3 0 1, 2θ = 29.07°, rel. 79; hkl 2 2 0, 2θ = 31.15°, rel. 100; hkl 2 0 3, 2θ = 37.68°, rel. 51

Cell and atoms:
```
data_K6InTe4Cl
_cell_length_a 11.4834
_cell_length_b 11.4834
_cell_length_c 8.1648
_cell_angle_alpha 90.00
_cell_angle_beta 90.00
_cell_angle_gamma 120.00
_space_group_name_H-M_alt 'P 63 m c'
_space_group_IT_number 186
_space_group_name_Hall 'P 6c -2c'
loop_
_atom_site_label
_atom_site_type_symbol
_atom_site_fract_x
_atom_site_fract_y
_atom_site_fract_z
_atom_site_occupancy
K1 K 0.0456 0.5228 0.0000 1
K2 K 0.1233 0.2465 0.6894 1
In1 In 0.3333 0.6667 0.3878 1
Te1 Te 0.1987 0.3974 0.2801 1
Te2 Te 0.3333 0.6667 0.7343 1
Cl1 Cl 0.0000 0.0000 0.4485 1
```

Record 3
For LiLa2InCl, a structure optimized by DFT (PBE) gives the calculated powder XRD pattern in this record (Cu Kα (weighted mean of Kα1 and Kα2)).
Lines closer than 0.1° are merged.

The 8 most intense peaks (2θ from 10° to 90°), low angle first:
hkl 0 0 1, 2θ = 20.22°, rel. 19; hkl 1 0 1, 2θ = 25.70°, rel. 26; hkl 1 1 1, 2θ = 30.27°, rel. 100; hkl 2 0 0, 2θ = 31.72°, rel. 64; hkl 2 2 0, 2θ = 45.48°, rel. 23; hkl 2 0 2, 2θ = 52.83°, rel. 29; hkl 3 1 1, 2θ = 55.60°, rel. 36; hkl 2 2 2, 2θ = 62.95°, rel. 17

Cell and atoms:
```
data_LiLa2InCl
_cell_length_a 5.641
_cell_length_b 5.641
_cell_length_c 4.392
_cell_angle_alpha 90.00
_cell_angle_beta 90.00
_cell_angle_gamma 90.00
_space_group_name_H-M_alt 'P 4/m m m'
_space_group_IT_number 123
_space_group_name_Hall '-P 4 2'
loop_
_atom_site_label
_atom_site_type_symbol
_atom_site_fract_x
_atom_site_fract_y
_atom_site_fract_z
_atom_site_occupancy
Li1 Li 0.000 0.000 0.000 1
La1 La 0.000 0.500 0.500 1
In1 In 0.500 0.500 0.000 1
Cl1 Cl 0.000 0.000 0.500 1
```

Record 4
For Li2In2Cl7, a structure optimized by DFT (PBE) gives the calculated powder XRD pattern in this record (Cu Kα (weighted mean of Kα1 and Kα2)).
Lines closer than 0.1° are merged.

The 8 most intense peaks (2θ from 10° to 90°), low angle first:
hkl 0 0 2, 2θ = 14.28°, rel. 100; hkl 2 0 0, 2θ = 17.48°, rel. 97; hkl 0 2 0, 2θ = 18.56°, rel. 52; hkl 2 0 -2, 2θ = 18.89°, rel. 46; hkl 0 2 2, 2θ = 23.49°, rel. 56; hkl 1 3 -2, 2θ = 31.55°, rel. 32; hkl 0 2 4, 2θ = 34.46°, rel. 37; hkl 4 2 -4, 2θ = 42.92°, rel. 31

Cell and atoms:
```
data_Li2In2Cl7
_cell_length_a 10.665
_cell_length_b 9.562
_cell_length_c 13.034
_cell_angle_alpha 90.00
_cell_angle_beta 107.89
_cell_angle_gamma 90.00
_space_group_name_H-M_alt 'C 1 2/c 1'
_space_group_IT_number 15
_space_group_name_Hall '-C 2yc'
loop_
_atom_site_label
_atom_site_type_symbol
_atom_site_fract_x
_atom_site_fract_y
_atom_site_fract_z
_atom_site_occupancy
Li1 Li 0.149 0.091 0.470 1
In1 In 0.245 0.277 0.768 1
Cl1 Cl 0.000 0.297 0.750 1
Cl2 Cl 0.095 0.131 0.061 1
Cl3 Cl 0.166 0.324 0.375 1
Cl4 Cl 0.246 0.484 0.157 1
```

Record 5
For LiInCl4, a structure optimized by DFT (PBE) gives the calculated powder XRD pattern in this record (Cu Kα (weighted mean of Kα1 and Kα2)).
Lines closer than 0.1° are merged.

The 8 most intense peaks (2θ from 10° to 90°), low angle first:
hkl 1 0 1, 2θ = 17.10°, rel. 100; hkl 1 1 0, 2θ = 21.13°, rel. 24; hkl 1 1 2, 2θ = 27.06°, rel. 74; hkl 2 1 1, 2θ = 34.79°, rel. 25; hkl 2 1 3, 2θ = 42.54°, rel. 20; hkl 2 0 4, 2θ = 45.85°, rel. 30; hkl 3 1 2, 2θ = 51.58°, rel. 20; hkl 1 1 6, 2θ = 56.47°, rel. 18

Cell and atoms:
```
data_LiInCl4
_cell_length_a 5.945
_cell_length_b 5.945
_cell_length_c 10.608
_cell_angle_alpha 90.00
_cell_angle_beta 90.00
_cell_angle_gamma 90.00
_space_group_name_H-M_alt 'P -4 2 c'
_space_group_IT_number 112
_space_group_name_Hall 'P -4 2c'
loop_
_atom_site_label
_atom_site_type_symbol
_atom_site_fract_x
_atom_site_fract_y
_atom_site_fract_z
_atom_site_occupancy
Li1 Li 0.000 0.000 0.000 1
In1 In 0.000 0.500 0.250 1
Cl1 Cl 0.227 0.260 0.380 1
```

Record 6
For LiIn2Cl3, a structure optimized by DFT (PBE) gives the calculated powder XRD pattern in this record (Cu Kα (weighted mean of Kα1 and Kα2)).
Lines closer than 0.1° are merged.

The 8 most intense peaks (2θ from 10° to 90°), low angle first:
hkl 0 0 4, 2θ = 19.85°, rel. 60; hkl 2 0 2, 2θ = 22.01°, rel. 88; hkl 1 1 1, 2θ = 23.52°, rel. 72; hkl 0 1 3, 2θ = 25.62°, rel. 52; hkl 2 1 1, 2θ = 29.15°, rel. 100; hkl 2 1 2, 2θ = 30.43°, rel. 45; hkl 1 1 4, 2θ = 30.55°, rel. 52; hkl 2 1 5, 2θ = 38.35°, rel. 57

Cell and atoms:
```
data_LiIn2Cl3
_cell_length_a 9.051
_cell_length_b 4.280
_cell_length_c 17.891
_cell_angle_alpha 90.00
_cell_angle_beta 90.00
_cell_angle_gamma 90.00
_space_group_name_H-M_alt 'P n m a'
_space_group_IT_number 62
_space_group_name_Hall '-P 2ac 2n'
loop_
_atom_site_label
_atom_site_type_symbol
_atom_site_fract_x
_atom_site_fract_y
_atom_site_fract_z
_atom_site_occupancy
Li1 Li 0.142 0.250 0.133 1
In1 In 0.059 0.250 0.720 1
In2 In 0.240 0.250 0.466 1
Cl1 Cl 0.030 0.750 0.103 1
Cl2 Cl 0.128 0.750 0.569 1
Cl3 Cl 0.191 0.250 0.263 1
```

Record 7
For Li3InCl6, a structure optimized by DFT (PBE) gives the calculated powder XRD pattern in this record (Cu Kα (weighted mean of Kα1 and Kα2)).
Lines closer than 0.1° are merged.

The 8 most intense peaks (2θ from 10° to 90°), low angle first:
hkl 0 0 3, 2θ = 15.00°, rel. 28; hkl 1 0 1, 2θ = 16.63°, rel. 69; hkl 0 1 2, 2θ = 18.77°, rel. 60; hkl 1 0 4, 2θ = 25.66°, rel. 22; hkl 1 1 3, 2θ = 31.59°, rel. 100; hkl 1 1 6, 2θ = 41.44°, rel. 52; hkl 3 0 0, 2θ = 48.88°, rel. 32; hkl 2 -1 9, 2θ = 54.60°, rel. 18

Cell and atoms:
```
data_Li3InCl6
_cell_length_a 6.4548
_cell_length_b 6.4548
_cell_length_c 17.7194
_cell_angle_alpha 90.00
_cell_angle_beta 90.00
_cell_angle_gamma 120.00
_space_group_name_H-M_alt 'R 3'
_space_group_IT_number 146
_space_group_name_Hall 'R 3'
loop_
_atom_site_label
_atom_site_type_symbol
_atom_site_fract_x
_atom_site_fract_y
_atom_site_fract_z
_atom_site_occupancy
Li1 Li 0.0000 0.0000 0.0000 1
Li2 Li 0.0000 0.0000 0.2018 1
Li3 Li 0.0000 0.0000 0.7082 1
In1 In 0.0000 0.0000 0.5141 1
Cl1 Cl 0.0086 0.3203 0.1070 1
Cl2 Cl 0.0253 0.6723 0.2727 1
```

Record 8
For Li5InCl8, a structure optimized by DFT (PBE) gives the calculated powder XRD pattern in this record (Cu Kα (weighted mean of Kα1 and Kα2)).
Lines closer than 0.1° are merged.

The 8 most intense peaks (2θ from 10° to 90°), low angle first:
hkl 1 1 1, 2θ = 14.36°, rel. 54; hkl 2 0 0, 2θ = 16.60°, rel. 44; hkl 2 2 0, 2θ = 23.56°, rel. 45; hkl 3 1 1, 2θ = 27.70°, rel. 55; hkl 2 2 2, 2θ = 28.96°, rel. 100; hkl 3 3 1, 2θ = 36.67°, rel. 31; hkl 4 4 0, 2θ = 48.19°, rel. 66; hkl 6 2 2, 2θ = 57.21°, rel. 34

Cell and atoms:
```
data_Li5InCl8
_cell_length_a 10.682
_cell_length_b 10.682
_cell_length_c 10.682
_cell_angle_alpha 90.00
_cell_angle_beta 90.00
_cell_angle_gamma 90.00
_space_group_name_H-M_alt 'F -4 3 m'
_space_group_IT_number 216
_space_group_name_Hall 'F -4 2 3'
loop_
_atom_site_label
_atom_site_type_symbol
_atom_site_fract_x
_atom_site_fract_y
_atom_site_fract_z
_atom_site_occupancy
Li1 Li 0.000 0.000 0.000 1
Li2 Li 0.143 0.143 0.643 1
In1 In 0.250 0.250 0.250 1
Cl1 Cl 0.120 0.120 0.380 1
Cl2 Cl 0.130 0.130 0.870 1
```

Record 9
For LiNb3InCl9, a structure optimized by DFT (PBE) gives the calculated powder XRD pattern in this record (Cu Kα (weighted mean of Kα1 and Kα2)).
Lines closer than 0.1° are merged.

The 8 most intense peaks (2θ from 10° to 90°), low angle first:
hkl 1 0 0, 2θ = 10.16°, rel. 41; hkl 0 1 -1, 2θ = 10.80°, rel. 71; hkl 0 1 0, 2θ = 11.18°, rel. 61; hkl 1 0 -1, 2θ = 12.19°, rel. 62; hkl 1 -1 1, 2θ = 15.37°, rel. 22; hkl -3 2 1, 2θ = 34.64°, rel. 100; hkl 2 3 -2, 2θ = 36.68°, rel. 51; hkl 5 1 -3, 2θ = 52.07°, rel. 16

Cell and atoms:
```
data_LiNb3InCl9
_cell_length_a 9.437
_cell_length_b 9.501
_cell_length_c 9.547
_cell_angle_alpha 119.08
_cell_angle_beta 104.52
_cell_angle_gamma 97.73
_space_group_name_H-M_alt 'P -1'
_space_group_IT_number 2
_space_group_name_Hall '-P 1'
loop_
_atom_site_label
_atom_site_type_symbol
_atom_site_fract_x
_atom_site_fract_y
_atom_site_fract_z
_atom_site_occupancy
Li1 Li 0.116 0.046 0.190 1
Nb1 Nb 0.358 0.301 0.983 1
Nb2 Nb 0.359 0.426 0.755 1
Nb3 Nb 0.370 0.654 0.107 1
In1 In 0.147 0.733 0.495 1
Cl1 Cl 0.167 0.174 0.689 1
Cl2 Cl 0.167 0.328 0.444 1
Cl3 Cl 0.168 0.042 0.951 1
Cl4 Cl 0.180 0.445 0.104 1
Cl5 Cl 0.181 0.595 0.836 1
Cl6 Cl 0.204 0.844 0.246 1
Cl7 Cl 0.484 0.084 0.853 1
Cl8 Cl 0.488 0.235 0.587 1
Cl9 Cl 0.499 0.352 0.267 1
```

Record 10
For Li2TbInCl6, a structure optimized by DFT (PBE) gives the calculated powder XRD pattern in this record (Cu Kα (weighted mean of Kα1 and Kα2)).
Lines closer than 0.1° are merged.

The 8 most intense peaks (2θ from 10° to 90°), low angle first:
hkl 0 1 2, 2θ = 17.52°, rel. 100; hkl 1 0 4, 2θ = 24.00°, rel. 59; hkl 2 -1 3, 2θ = 29.44°, rel. 29; hkl 2 0 2, 2θ = 31.30°, rel. 45; hkl 2 -1 6, 2θ = 38.67°, rel. 49; hkl 3 -2 2, 2θ = 40.94°, rel. 26; hkl 3 -1 4, 2θ = 44.33°, rel. 25; hkl 3 0 0, 2θ = 45.36°, rel. 25

Cell and atoms:
```
data_Li2TbInCl6
_cell_length_a 6.9255
_cell_length_b 6.9255
_cell_length_c 18.8743
_cell_angle_alpha 90.00
_cell_angle_beta 90.00
_cell_angle_gamma 120.00
_space_group_name_H-M_alt 'R 3'
_space_group_IT_number 146
_space_group_name_Hall 'R 3'
loop_
_atom_site_label
_atom_site_type_symbol
_atom_site_fract_x
_atom_site_fract_y
_atom_site_fract_z
_atom_site_occupancy
Li1 Li 0.0000 0.0000 0.0000 1
Li2 Li 0.0000 0.0000 0.4914 1
Tb1 Tb 0.0000 0.0000 0.6942 1
In1 In 0.0000 0.0000 0.2158 1
Cl1 Cl 0.0107 0.5818 0.2669 1
Cl2 Cl 0.0129 0.3410 0.0928 1
```

Record 11
For LiTl2In2Cl6, a structure optimized by DFT (PBE) gives the calculated powder XRD pattern in this record (Cu Kα (weighted mean of Kα1 and Kα2)).
Lines closer than 0.1° are merged.

The 8 most intense peaks (2θ from 10° to 90°), low angle first:
hkl 0 0 1, 2θ = 11.17°, rel. 91; hkl 0 2 0, 2θ = 22.96°, rel. 80; hkl 1 1 -2, 2θ = 23.57°, rel. 88; hkl 3 1 -1, 2θ = 27.56°, rel. 100; hkl 2 2 -1, 2θ = 28.74°, rel. 58; hkl 3 1 0, 2θ = 29.69°, rel. 49; hkl 2 2 1, 2θ = 34.13°, rel. 62; hkl 0 4 0, 2θ = 46.88°, rel. 47

Cell and atoms:
```
data_LiTl2In2Cl6
_cell_length_a 10.690
_cell_length_b 7.747
_cell_length_c 8.643
_cell_angle_alpha 90.00
_cell_angle_beta 113.58
_cell_angle_gamma 90.00
_space_group_name_H-M_alt 'C 1 2/m 1'
_space_group_IT_number 12
_space_group_name_Hall '-C 2y'
loop_
_atom_site_label
_atom_site_type_symbol
_atom_site_fract_x
_atom_site_fract_y
_atom_site_fract_z
_atom_site_occupancy
Li1 Li 0.000 0.000 0.000 1
Tl1 Tl 0.186 0.000 0.642 1
In1 In 0.074 0.500 0.691 1
Cl1 Cl 0.072 0.243 0.268 1
Cl2 Cl 0.233 0.000 0.014 1
```

Record 12
For LiZnInCl6, a structure optimized by DFT (PBE) gives the calculated powder XRD pattern in this record (Cu Kα (weighted mean of Kα1 and Kα2)).
Lines closer than 0.1° are merged.

The 8 most intense peaks (2θ from 10° to 90°), low angle first:
hkl 0 0 2, 2θ = 14.98°, rel. 61; hkl 1 0 0, 2θ = 16.03°, rel. 41; hkl 1 0 2, 2θ = 22.01°, rel. 39; hkl 1 1 2, 2θ = 31.85°, rel. 100; hkl 1 1 4, 2θ = 41.63°, rel. 63; hkl 3 0 0, 2θ = 49.44°, rel. 34; hkl 3 0 2, 2θ = 51.96°, rel. 14; hkl 2 -1 6, 2θ = 54.73°, rel. 21

Cell and atoms:
```
data_LiZnInCl6
_cell_length_a 6.3860
_cell_length_b 6.3860
_cell_length_c 11.8262
_cell_angle_alpha 90.00
_cell_angle_beta 90.00
_cell_angle_gamma 120.00
_space_group_name_H-M_alt 'P -3 1 c'
_space_group_IT_number 163
_space_group_name_Hall '-P 3 2c'
loop_
_atom_site_label
_atom_site_type_symbol
_atom_site_fract_x
_atom_site_fract_y
_atom_site_fract_z
_atom_site_occupancy
Li1 Li 0.0000 0.0000 0.0000 1
Zn1 Zn 0.3333 0.6667 0.2500 1
In1 In 0.3333 0.6667 0.7500 1
Cl1 Cl 0.0076 0.3519 0.1299 1
```